The following is a calculated powder X-ray diffraction pattern of YPaTe2Se. It was derived from a PBE-relaxed structure, using Cu Kα.
Intensities are scaled so that the largest is 100.

Main lines, most intense first (2θ = 15–90°):
d = 3.089 Å, I 100
d = 2.373 Å, I 75
d = 2.184 Å, I 67
d = 3.273 Å, I 49
d = 2.453 Å, I 48
d = 2.620 Å, I 36
d = 1.631 Å, I 28
d = 1.259 Å, I 25
d = 1.541 Å, I 25
d = 3.706 Å, I 24

Crystal structure
Cell: 4.3690 4.3690 14.8243 Å, 90.00 90.00 90.00°
Element x y z (fractional)
Y 0.2500 0.2500 0.0851
Y 0.7500 0.7500 0.9149
Pa 0.2500 0.2500 0.6298
Pa 0.7500 0.7500 0.3702
Te 0.2500 0.2500 0.2956
Te 0.2500 0.2500 0.8754
Te 0.7500 0.7500 0.1246
Te 0.7500 0.7500 0.7044
Se 0.2500 0.7500 0.5000
Se 0.7500 0.2500 0.5000

---

The following is a calculated powder X-ray diffraction pattern of Pa5Ti2Se12. It was derived from a PBE-relaxed structure, using Cu Kα.
Intensities are scaled so that the largest is 100.

Main lines, most intense first (2θ = 15–90°):
d = 3.762 Å, I 100
d = 4.181 Å, I 95
d = 2.458 Å, I 83
d = 2.195 Å, I 61
d = 2.759 Å, I 46
d = 2.552 Å, I 45
d = 2.640 Å, I 24
d = 1.823 Å, I 23
d = 2.126 Å, I 21
d = 1.402 Å, I 20

Crystal structure
Cell: 8.7660 8.7660 8.7831 Å, 104.69 104.69 49.14°
Element x y z (fractional)
Pa 0.0000 0.0000 0.0000
Pa 0.3046 0.3046 0.1564
Pa 0.3193 0.3193 0.6510
Pa 0.6807 0.6807 0.3490
Pa 0.6954 0.6954 0.8436
Ti 0.2879 0.7121 0.5000
Ti 0.7121 0.2879 0.5000
Se 0.0020 0.0020 0.3077
Se 0.0730 0.5938 0.4111
Se 0.0977 0.6023 0.9289
Se 0.3977 0.9023 0.0711
Se 0.4062 0.9270 0.5889
Se 0.4946 0.4946 0.2590
Se 0.5054 0.5054 0.7410
Se 0.5938 0.0730 0.4111
Se 0.6023 0.0977 0.9289
Se 0.9023 0.3977 0.0711
Se 0.9270 0.4062 0.5889
Se 0.9980 0.9980 0.6923

---

The following is a calculated powder X-ray diffraction pattern of PaTi2Tl3Se6. It was derived from a PBE-relaxed structure, using Cu Kα.
Intensities are scaled so that the largest is 100.

Main lines, most intense first (2θ = 15–90°):
d = 2.585 Å, I 100
d = 3.055 Å, I 35
d = 3.280 Å, I 34
d = 1.893 Å, I 30
d = 1.768 Å, I 26
d = 1.527 Å, I 20
d = 1.189 Å, I 17
d = 4.199 Å, I 15
d = 1.406 Å, I 10
d = 4.705 Å, I 9

Crystal structure
Cell: 6.5591 6.5591 8.3972 Å, 90.00 90.00 120.00°
Element x y z (fractional)
Pa 0.0000 0.0000 0.0000
Ti 0.3333 0.6667 0.0000
Ti 0.6667 0.3333 0.0000
Tl 0.0000 0.0000 0.5000
Tl 0.3333 0.6667 0.5000
Tl 0.6667 0.3333 0.5000
Se 0.0000 0.3517 0.1876
Se 0.0000 0.6483 0.8124
Se 0.3517 0.0000 0.1876
Se 0.3517 0.3517 0.8124
Se 0.6483 0.0000 0.8124
Se 0.6483 0.6483 0.1876

---

The following is a calculated powder X-ray diffraction pattern of PaTlSe4. It was derived from a PBE-relaxed structure, using Cu Kα.
Intensities are scaled so that the largest is 100.

Main lines, most intense first (2θ = 15–90°):
d = 2.537 Å, I 100
d = 2.947 Å, I 77
d = 3.181 Å, I 76
d = 4.985 Å, I 59
d = 1.936 Å, I 35
d = 2.144 Å, I 34
d = 3.213 Å, I 32
d = 2.895 Å, I 32
d = 4.202 Å, I 31
d = 1.497 Å, I 26

Crystal structure
Cell: 6.5199 6.5199 8.2651 Å, 90.00 90.00 99.74°
Element x y z (fractional)
Pa 0.2500 0.2500 0.0000
Pa 0.7500 0.7500 0.0000
Tl 0.2500 0.2500 0.5000
Tl 0.7500 0.7500 0.5000
Se 0.0826 0.9174 0.8007
Se 0.1052 0.6052 0.1887
Se 0.3948 0.8948 0.1887
Se 0.4174 0.5826 0.8007
Se 0.5826 0.4174 0.1993
Se 0.6052 0.1052 0.8113
Se 0.8948 0.3948 0.8113
Se 0.9174 0.0826 0.1993

---

The following is a calculated powder X-ray diffraction pattern of Pa2TlSe. It was derived from a PBE-relaxed structure, using Cu Kα.
Intensities are scaled so that the largest is 100.

Main lines, most intense first (2θ = 15–90°):
d = 2.988 Å, I 100
d = 2.184 Å, I 44
d = 2.048 Å, I 30
d = 1.763 Å, I 22
d = 1.372 Å, I 20
d = 1.233 Å, I 12
d = 2.715 Å, I 12
d = 1.494 Å, I 11
d = 1.303 Å, I 11
d = 1.538 Å, I 9

Crystal structure
Cell: 6.9696 6.9696 6.9696 Å, 36.52 36.52 36.52°
Element x y z (fractional)
Pa 0.2388 0.2388 0.2388
Pa 0.7612 0.7612 0.7612
Tl 0.0000 0.0000 0.0000
Se 0.5000 0.5000 0.5000

---

The following is a calculated powder X-ray diffraction pattern of PaTlSe3. It was derived from a PBE-relaxed structure, using Cu Kα.
Intensities are scaled so that the largest is 100.

Main lines, most intense first (2θ = 15–90°):
d = 3.066 Å, I 100
d = 3.139 Å, I 53
d = 2.281 Å, I 37
d = 2.115 Å, I 32
d = 4.872 Å, I 30
d = 2.257 Å, I 24
d = 3.481 Å, I 20
d = 4.221 Å, I 14
d = 1.739 Å, I 13
d = 2.089 Å, I 13

Crystal structure
Cell: 10.0211 10.0211 7.3607 Å, 96.08 96.08 77.41°
Element x y z (fractional)
Pa 0.1663 0.3291 0.4843
Pa 0.3291 0.1663 0.9843
Pa 0.6709 0.8337 0.0157
Pa 0.8337 0.6709 0.5157
Tl 0.1047 0.8953 0.2500
Tl 0.2767 0.7233 0.7500
Tl 0.7233 0.2767 0.2500
Tl 0.8953 0.1047 0.7500
Se 0.0766 0.2093 0.1416
Se 0.0980 0.6012 0.4009
Se 0.2093 0.0766 0.6416
Se 0.2917 0.4072 0.8180
Se 0.3988 0.9020 0.0991
Se 0.4072 0.2917 0.3180
Se 0.5928 0.7083 0.6820
Se 0.6012 0.0980 0.9009
Se 0.7083 0.5928 0.1820
Se 0.7907 0.9234 0.3584
Se 0.9020 0.3988 0.5991
Se 0.9234 0.7907 0.8584

---

Copy entry 5 word for word.
The following is a calculated powder X-ray diffraction pattern of Pa2TlSe. It was derived from a PBE-relaxed structure, using Cu Kα.
Intensities are scaled so that the largest is 100.

Main lines, most intense first (2θ = 15–90°):
d = 2.988 Å, I 100
d = 2.184 Å, I 44
d = 2.048 Å, I 30
d = 1.763 Å, I 22
d = 1.372 Å, I 20
d = 1.233 Å, I 12
d = 2.715 Å, I 12
d = 1.494 Å, I 11
d = 1.303 Å, I 11
d = 1.538 Å, I 9

Crystal structure
Cell: 6.9696 6.9696 6.9696 Å, 36.52 36.52 36.52°
Element x y z (fractional)
Pa 0.2388 0.2388 0.2388
Pa 0.7612 0.7612 0.7612
Tl 0.0000 0.0000 0.0000
Se 0.5000 0.5000 0.5000